Diffraction record for CaBeCr2O6. The X-ray powder pattern is theoretical, not measured: it uses the PBE+U geometry in Alexandria and Cu Kα.

The 10 most intense peaks (10° ≤ 2θ ≤ 90°), sorted by position:
| 2theta | intensity | index |
| --- | --- | --- |
| 22.2 | 73 | 1 0 0 |
| 23.4 | 52 | 0 1 -1 |
| 24.7 | 37 | -1 1 1 |
| 31.1 | 44 | 1 1 -1 |
| 31.7 | 50 | 0 1 1 |
| 33.7 | 100 | 1 -1 1 |
| 38.4 | 26 | 0 2 -1 |
| 40.0 | 31 | -1 2 1 |
| 45.3 | 42 | 2 0 0 |
| 47.8 | 35 | 0 2 -2 |

Cell and atoms:
abc: 5.146 5.203 5.321
angles: 93.15 118.66 112.27
Element x y z (fractional)
Ca 0.000 0.000 0.000
Be 0.756 0.266 0.452
Cr 0.501 0.729 0.279
Cr 0.524 0.299 0.796
O 0.074 0.183 0.573
O 0.078 0.478 0.080
O 0.516 0.086 0.099
O 0.544 0.010 0.573
O 0.634 0.631 0.045
O 0.681 0.525 0.553